No. 1
For Ac2SiO, a PBE-relaxed structure gives the theoretical XRD peak list in this record (Cu Kα (weighted mean of Kα1 and Kα2)).

Top 12 peaks for 2θ from 10° to 80°, in order of rising 2θ:
- 17.85°, I 32.5
- 24.61°, I 73.8
- 26.07°, I 100.0
- 26.96°, I 50.0
- 30.57°, I 47.8
- 36.15°, I 42.7
- 39.63°, I 25.7
- 44.22°, I 18.0
- 44.79°, I 21.9
- 51.15°, I 34.8
- 53.94°, I 25.3
- 69.25°, I 17.9

Atomic structure:
```
data_Ac2SiO
_cell_length_a 7.236
_cell_length_b 7.236
_cell_length_c 8.157
_cell_angle_alpha 90.00
_cell_angle_beta 90.00
_cell_angle_gamma 120.00
_space_group_name_H-M_alt 'P 1'
_space_group_IT_number 1
loop_
_space_group_symop_operation_xyz
'x,y,z'
loop_
_atom_site_label
_atom_site_type_symbol
_atom_site_fract_x
_atom_site_fract_y
_atom_site_fract_z
Ac1 Ac 0.101 0.408 0.388
Ac2 Ac 0.307 0.899 0.055
Ac3 Ac 0.408 0.101 0.612
Ac4 Ac 0.592 0.693 0.721
Ac5 Ac 0.693 0.592 0.279
Ac6 Ac 0.899 0.307 0.945
Si1 Si 0.000 0.644 0.667
Si2 Si 0.356 0.356 0.000
Si3 Si 0.644 0.000 0.333
O1 O 0.000 0.577 0.167
O2 O 0.423 0.423 0.500
O3 O 0.577 0.000 0.833
```

No. 2
For Ac6Si3O2, a PBE-relaxed structure gives the theoretical XRD peak list in this record (Cu Kα (weighted mean of Kα1 and Kα2)).

Top 12 peaks for 2θ from 10° to 80°, in order of rising 2θ:
- 20.48°, I 28.3
- 20.76°, I 30.4
- 25.99°, I 100.0
- 27.80°, I 24.7
- 28.69°, I 29.0
- 32.74°, I 88.9
- 35.70°, I 67.3
- 45.84°, I 26.3
- 49.74°, I 38.9
- 51.37°, I 24.2
- 62.26°, I 29.3
- 74.30°, I 26.9

Atomic structure:
```
data_Ac6Si3O2
_cell_length_a 13.319
_cell_length_b 13.319
_cell_length_c 13.319
_cell_angle_alpha 158.23
_cell_angle_beta 158.23
_cell_angle_gamma 30.98
_space_group_name_H-M_alt 'P 1'
_space_group_IT_number 1
loop_
_space_group_symop_operation_xyz
'x,y,z'
loop_
_atom_site_label
_atom_site_type_symbol
_atom_site_fract_x
_atom_site_fract_y
_atom_site_fract_z
Ac1 Ac 0.080 0.580 0.500
Ac2 Ac 0.202 0.202 0.000
Ac3 Ac 0.420 0.920 0.500
Ac4 Ac 0.580 0.080 0.500
Ac5 Ac 0.798 0.798 0.000
Ac6 Ac 0.920 0.420 0.500
Si1 Si 0.328 0.328 0.000
Si2 Si 0.500 0.500 0.000
Si3 Si 0.672 0.672 0.000
O1 O 0.104 0.104 0.000
O2 O 0.896 0.896 0.000
```

No. 3
For Ac3Si2O8, a PBE-relaxed structure gives the theoretical XRD peak list in this record (Cu Kα (weighted mean of Kα1 and Kα2)).

Top 12 peaks for 2θ from 10° to 80°, in order of rising 2θ:
- 18.86°, I 39.6
- 25.23°, I 35.6
- 28.41°, I 100.0
- 32.07°, I 84.7
- 41.24°, I 18.3
- 43.37°, I 38.5
- 47.87°, I 25.1
- 51.54°, I 21.3
- 54.95°, I 32.7
- 57.18°, I 16.8
- 68.56°, I 18.1
- 74.40°, I 14.2

Atomic structure:
```
data_Ac3Si2O8
_cell_length_a 7.605
_cell_length_b 7.605
_cell_length_c 7.605
_cell_angle_alpha 43.05
_cell_angle_beta 43.05
_cell_angle_gamma 43.05
_space_group_name_H-M_alt 'P 1'
_space_group_IT_number 1
loop_
_space_group_symop_operation_xyz
'x,y,z'
loop_
_atom_site_label
_atom_site_type_symbol
_atom_site_fract_x
_atom_site_fract_y
_atom_site_fract_z
Ac1 Ac 0.000 0.000 0.000
Ac2 Ac 0.207 0.207 0.207
Ac3 Ac 0.793 0.793 0.793
Si1 Si 0.406 0.406 0.406
Si2 Si 0.594 0.594 0.594
O1 O 0.244 0.729 0.729
O2 O 0.271 0.271 0.756
O3 O 0.271 0.756 0.271
O4 O 0.326 0.326 0.326
O5 O 0.674 0.674 0.674
O6 O 0.729 0.244 0.729
O7 O 0.729 0.729 0.244
O8 O 0.756 0.271 0.271
```